(1)
# Th4Tl3Co
Computed powder diffraction line list, CuKα. Input: a crystal structure in Alexandria, relaxed with GGA-PBE.

Structural model:
Cell lengths 4.918, 11.387, 8.315 Å; angles 90.00, 90.00, 90.00 degrees
Space group Pmmn (No. 59, origin choice 2)
Symmetry-distinct sites (fractional):
Th (0.250, 0.001, 0.164) [4 per cell]
Th (0.250, 0.250, 0.737) [2 per cell]
Th (0.250, 0.750, 0.936) [2 per cell]
Tl (0.250, 0.250, 0.337) [2 per cell]
Tl (0.250, 0.588, 0.554) [4 per cell]
Co (0.250, 0.750, 0.280) [2 per cell]

Principal peaks in the range 10 to 90 degrees two-theta, low angle first:
d 3.397, I = 38.2, (1 2 1); d 3.058, I = 59.7, (1 1 2); d 2.847, I = 31.7, (0 4 0); d 2.826, I = 72.0, (1 3 1); d 2.773, I = 100.0, (1 2 2); d 2.693, I = 47.5, (0 1 3); d 2.492, I = 43.4, (0 2 3); d 2.459, I = 61.5, (2 0 0)

***

(2)
# Ba3YIr2O9
Computed powder diffraction line list, CuKα. Input: a crystal structure in Alexandria, relaxed with GGA-PBE.

Structural model:
Cell lengths 5.8945, 5.8945, 7.2375 Å; angles 90.00, 90.00, 120.00 degrees
Space group P-3m1 (No. 164)
Symmetry-distinct sites (fractional):
Ba (0.0000, 0.0000, 0.0000) [1 per cell]
Ba (0.3333, 0.6667, 0.6733) [2 per cell]
Y (0.0000, 0.0000, 0.5000) [1 per cell]
Ir (0.3333, 0.6667, 0.1585) [2 per cell]
O (0.0000, 0.5000, 0.0000) [3 per cell]
O (0.1764, 0.3528, 0.3193) [6 per cell]

Principal peaks in the range 10 to 90 degrees two-theta, low angle first:
d 2.950, I = 100.0, (1 1 0); d 2.086, I = 28.3, (2 0 2); d 1.703, I = 30.3, (1 2 2); d 1.702, I = 10.0, (3 0 0); d 1.476, I = 8.7, (0 2 4); d 1.474, I = 8.8, (2 2 0); d 1.319, I = 17.8, (3 1 2); d 1.115, I = 10.8, (2 3 2)

***

(3)
# Tb3Tm3In
Computed powder diffraction line list, CuKα. Input: a crystal structure in Alexandria, relaxed with GGA-PBE.

Structural model:
Cell lengths 13.220, 5.160, 12.607 Å; angles 90.00, 90.00, 90.00 degrees
Space group Pnma (No. 62)
Symmetry-distinct sites (fractional):
Tb (0.088, 0.250, 0.189) [4 per cell]
Tb (0.174, 0.750, 0.763) [4 per cell]
Tb (0.189, 0.750, 0.370) [4 per cell]
Tm (0.023, 0.250, 0.433) [4 per cell]
Tm (0.052, 0.250, 0.928) [4 per cell]
Tm (0.223, 0.750, 0.056) [4 per cell]
In (0.052, 0.250, 0.682) [4 per cell]

Principal peaks in the range 10 to 90 degrees two-theta, low angle first:
d 3.258, I = 34.4, (0 1 3); d 2.959, I = 20.0, (3 1 2); d 2.924, I = 42.7, (2 1 3); d 2.783, I = 100.0, (4 1 0); d 2.636, I = 81.5, (1 1 4); d 2.580, I = 59.2, (0 2 0); d 2.564, I = 37.2, (3 0 4); d 1.818, I = 26.9, (3 2 4)

***

(4)
# Nd3Co7Si2
Computed powder diffraction line list, CuKα. Input: a crystal structure in Alexandria, relaxed with GGA-PBE.

Structural model:
Cell lengths 5.2721, 5.2721, 22.6774 Å; angles 90.00, 90.00, 120.00 degrees
Space group R-3m (No. 166, hexagonal axes)
Symmetry-distinct sites (fractional):
Nd (0.0000, 0.0000, 0.0000) [3 per cell]
Nd (0.0000, 0.0000, 0.1422) [6 per cell]
Co (0.0000, 0.0000, 0.5000) [3 per cell]
Co (0.0095, 0.5048, 0.0772) [18 per cell]
Si (0.0000, 0.0000, 0.3314) [6 per cell]

Principal peaks in the range 10 to 90 degrees two-theta, low angle first:
d 2.639, I = 100.0, (1 0 7); d 2.408, I = 37.4, (0 1 8); d 2.271, I = 51.0, (0 2 1); d 2.162, I = 85.8, (1 1 6); d 1.523, I = 27.6, (2 1 7); d 1.474, I = 17.6, (1 2 8); d 1.412, I = 21.2, (0 3 6); d 1.318, I = 22.2, (2 2 0)

***

Repeat the third record exactly.
# Tb3Tm3In
Computed powder diffraction line list, CuKα. Input: a crystal structure in Alexandria, relaxed with GGA-PBE.

Structural model:
Cell lengths 13.220, 5.160, 12.607 Å; angles 90.00, 90.00, 90.00 degrees
Space group Pnma (No. 62)
Symmetry-distinct sites (fractional):
Tb (0.088, 0.250, 0.189) [4 per cell]
Tb (0.174, 0.750, 0.763) [4 per cell]
Tb (0.189, 0.750, 0.370) [4 per cell]
Tm (0.023, 0.250, 0.433) [4 per cell]
Tm (0.052, 0.250, 0.928) [4 per cell]
Tm (0.223, 0.750, 0.056) [4 per cell]
In (0.052, 0.250, 0.682) [4 per cell]

Principal peaks in the range 10 to 90 degrees two-theta, low angle first:
d 3.258, I = 34.4, (0 1 3); d 2.959, I = 20.0, (3 1 2); d 2.924, I = 42.7, (2 1 3); d 2.783, I = 100.0, (4 1 0); d 2.636, I = 81.5, (1 1 4); d 2.580, I = 59.2, (0 2 0); d 2.564, I = 37.2, (3 0 4); d 1.818, I = 26.9, (3 2 4)